Record 1
# Ac4SiGeI2
Simulated X-ray powder pattern, Cu Kα (λ = 1.5418 Å). Input: DFT lattice parameters and positions (PBE).
Intensities are scaled so that the largest is 100.

Atomic structure:
```
data_Ac4SiGeI2
_chemical_formula_sum 'Ac4 Si1 Ge1 I2'
_space_group_name_H-M_alt 'P 1 2/m 1'
_space_group_IT_number 10
_cell_length_a 7.9945
_cell_length_b 4.6189
_cell_length_c 8.5510
_cell_angle_alpha 90.00
_cell_angle_beta 108.19
_cell_angle_gamma 90.00
loop_
_space_group_symop_operation_xyz
'x,y,z'
'-x,-y,-z'
'-x,y,-z'
'x,-y,z'
loop_
_atom_site_label
_atom_site_type_symbol
_atom_site_fract_x
_atom_site_fract_y
_atom_site_fract_z
Ac1 Ac 0.2312 0.0000 0.2001
Ac2 Ac 0.2641 0.5000 0.7992
Si1 Si 0.0000 0.5000 0.0000
Ge1 Ge 0.5000 0.0000 0.0000
I1 I 0.0000 0.0000 0.5000
I2 I 0.5000 0.5000 0.5000
```

Peak list (6 most intense, 10 to 90 degrees two-theta, in order of rising 2θ)
| h k l | Position (°2θ) | intensity |
| --- | --- | --- |
| 2 0 0 | 23.41 | 25 |
| 1 1 1 | 26.67 | 100 |
| 1 1 -2 | 28.88 | 21 |
| 2 0 2 | 37.10 | 28 |
| 0 2 0 | 39.02 | 42 |
| 4 0 0 | 47.89 | 21 |


Record 2
# SbHRh3
Simulated X-ray powder pattern, Cu Kα (λ = 1.5418 Å). Input: DFT lattice parameters and positions (PBE).
Intensities are scaled so that the largest is 100.

Atomic structure:
```
data_SbHRh3
_chemical_formula_sum 'Sb2 H2 Rh6'
_space_group_name_H-M_alt 'P 63'
_space_group_IT_number 173
_cell_length_a 5.7921
_cell_length_b 5.7921
_cell_length_c 4.5038
_cell_angle_alpha 90.00
_cell_angle_beta 90.00
_cell_angle_gamma 120.00
loop_
_space_group_symop_operation_xyz
'x,y,z'
'x-y,x,z+1/2'
'-y,x-y,z'
'-x,-y,z+1/2'
'-x+y,-x,z'
'y,-x+y,z+1/2'
loop_
_atom_site_label
_atom_site_type_symbol
_atom_site_fract_x
_atom_site_fract_y
_atom_site_fract_z
Sb1 Sb 0.3333 0.6667 0.0000
H1 H 0.0000 0.0000 0.1505
Rh1 Rh 0.1234 0.3379 0.5051
```

Peak list (6 most intense, 10 to 90 degrees two-theta, in order of rising 2θ)
| h k l | Position (°2θ) | intensity |
| --- | --- | --- |
| 2 0 0 | 35.80 | 24 |
| 1 1 1 | 36.90 | 15 |
| 0 0 2 | 40.04 | 28 |
| 2 0 1 | 41.20 | 100 |
| 2 0 2 | 54.79 | 14 |
| 2 0 3 | 73.52 | 17 |